[1]
LaCu9Sn4: simulated powder X-ray diffraction pattern (Cu Kα (weighted mean of Kα1 and Kα2)), based on a PBE-relaxed structure.
Intensities are scaled so that the largest is 100.

Most intense lines, 2θ from 10° to 80°, in order of rising 2θ:
2θ = 31.73°, intensity 84; 2θ = 34.75°, intensity 84; 2θ = 36.23°, intensity 34; 2θ = 41.77°, intensity 77; 2θ = 42.63°, intensity 100; 2θ = 44.27°, intensity 25; 2θ = 45.97°, intensity 22; 2θ = 50.71°, intensity 24

Atomic structure:
Lattice parameters (Å, degrees): 8.730 8.730 8.730 117.41 117.41 94.55
Fractional coordinates of all 28 atoms:
La1 0.250 0.250 0.000
La2 0.750 0.750 0.000
Cu1 0.000 0.500 0.500
Cu2 0.052 0.169 0.500
Cu3 0.073 0.573 0.288
Cu4 0.169 0.669 0.117
Cu5 0.215 0.927 0.500
Cu6 0.285 0.785 0.712
Cu7 0.331 0.448 0.500
Cu8 0.427 0.715 0.500
Cu9 0.448 0.948 0.117
Cu10 0.500 0.000 0.500
Cu11 0.552 0.052 0.883
Cu12 0.573 0.285 0.500
Cu13 0.669 0.552 0.500
Cu14 0.715 0.215 0.288
Cu15 0.785 0.073 0.500
Cu16 0.831 0.331 0.883
Cu17 0.927 0.427 0.712
Cu18 0.948 0.831 0.500
Sn1 0.046 0.782 0.828
Sn2 0.218 0.046 0.264
Sn3 0.282 0.546 0.828
Sn4 0.454 0.282 0.736
Sn5 0.546 0.718 0.264
Sn6 0.718 0.454 0.172
Sn7 0.782 0.954 0.736
Sn8 0.954 0.218 0.172

=====

[2]
Li2SnP2O7: simulated powder X-ray diffraction pattern (Cu Kα (weighted mean of Kα1 and Kα2)), based on a PBE-relaxed structure.
Intensities are scaled so that the largest is 100.

Most intense lines, 2θ from 10° to 80°, in order of rising 2θ:
2θ = 13.14°, intensity 53; 2θ = 21.56°, intensity 100; 2θ = 22.02°, intensity 55; 2θ = 27.16°, intensity 28; 2θ = 29.36°, intensity 56; 2θ = 35.18°, intensity 24; 2θ = 35.70°, intensity 28; 2θ = 37.72°, intensity 24

Atomic structure:
Lattice parameters (Å, degrees): 9.097 5.102 15.176 90.00 117.42 90.00
Fractional coordinates of all 48 atoms:
Li1 0.004 0.207 0.073
Li2 0.004 0.293 0.573
Li3 0.409 0.229 0.289
Li4 0.409 0.271 0.789
Li5 0.591 0.729 0.211
Li6 0.591 0.771 0.711
Li7 0.996 0.707 0.427
Li8 0.996 0.793 0.927
Sn1 0.300 0.247 0.517
Sn2 0.300 0.253 0.017
Sn3 0.700 0.747 0.983
Sn4 0.700 0.753 0.483
P1 0.207 0.715 0.160
P2 0.207 0.785 0.660
P3 0.297 0.748 0.370
P4 0.297 0.752 0.870
P5 0.703 0.248 0.130
P6 0.703 0.252 0.630
P7 0.793 0.215 0.340
P8 0.793 0.285 0.840
O1 0.052 0.679 0.572
O2 0.052 0.821 0.072
O3 0.168 0.715 0.754
O4 0.168 0.785 0.254
O5 0.203 0.659 0.927
O6 0.203 0.841 0.427
O7 0.220 0.087 0.656
O8 0.220 0.413 0.156
O9 0.349 0.041 0.888
O10 0.349 0.459 0.388
O11 0.367 0.642 0.681
O12 0.367 0.858 0.181
O13 0.446 0.570 0.892
O14 0.446 0.930 0.392
O15 0.554 0.070 0.608
O16 0.554 0.430 0.108
O17 0.633 0.142 0.819
O18 0.633 0.358 0.319
O19 0.651 0.541 0.612
O20 0.651 0.959 0.112
O21 0.780 0.587 0.844
O22 0.780 0.913 0.344
O23 0.797 0.159 0.573
O24 0.797 0.341 0.073
O25 0.832 0.215 0.746
O26 0.832 0.285 0.246
O27 0.948 0.179 0.928
O28 0.948 0.321 0.428

=====

[3]
Ca2ZnGa3: simulated powder X-ray diffraction pattern (Cu Kα (weighted mean of Kα1 and Kα2)), based on a PBE-relaxed structure.
Intensities are scaled so that the largest is 100.

Most intense lines, 2θ from 10° to 80°, in order of rising 2θ:
2θ = 16.60°, intensity 23; 2θ = 32.80°, intensity 39; 2θ = 33.47°, intensity 100; 2θ = 38.45°, intensity 41; 2θ = 39.95°, intensity 46; 2θ = 40.23°, intensity 78; 2θ = 48.29°, intensity 25; 2θ = 56.65°, intensity 25

Atomic structure:
Lattice parameters (Å, degrees): 10.680 4.513 7.367 90.00 133.48 90.00
Fractional coordinates of all 12 atoms:
Ca1 0.000 0.000 0.000
Ca2 0.083 0.000 0.583
Ca3 0.500 0.500 0.000
Ca4 0.583 0.500 0.583
Zn1 0.207 0.500 0.401
Zn2 0.707 0.000 0.401
Ga1 0.203 0.500 0.009
Ga2 0.377 0.000 0.572
Ga3 0.381 0.000 0.186
Ga4 0.703 0.000 0.009
Ga5 0.877 0.500 0.572
Ga6 0.881 0.500 0.186

=====

[4]
HoCu4Ni: simulated powder X-ray diffraction pattern (Cu Kα (weighted mean of Kα1 and Kα2)), based on a PBE-relaxed structure.
Intensities are scaled so that the largest is 100.

Most intense lines, 2θ from 10° to 80°, in order of rising 2θ:
2θ = 30.34°, intensity 52; 2θ = 36.29°, intensity 31; 2θ = 42.15°, intensity 36; 2θ = 42.80°, intensity 100; 2θ = 44.71°, intensity 28; 2θ = 63.12°, intensity 21; 2θ = 69.78°, intensity 22; 2θ = 77.05°, intensity 15

Atomic structure:
Lattice parameters (Å, degrees): 4.951 4.951 4.054 90.00 90.00 120.00
Fractional coordinates of all 6 atoms:
Ho1 0.000 0.000 0.000
Cu1 0.002 0.501 0.500
Cu2 0.499 0.501 0.500
Cu3 0.499 0.998 0.500
Cu4 0.667 0.333 0.000
Ni1 0.333 0.667 0.000

=====

[5]
NbBr4: simulated powder X-ray diffraction pattern (Cu Kα (weighted mean of Kα1 and Kα2)), based on a PBE-relaxed structure.
Intensities are scaled so that the largest is 100.

Most intense lines, 2θ from 10° to 80°, in order of rising 2θ:
2θ = 12.80°, intensity 43; 2θ = 13.31°, intensity 38; 2θ = 17.62°, intensity 19; 2θ = 30.27°, intensity 100; 2θ = 31.37°, intensity 26; 2θ = 38.04°, intensity 26; 2θ = 46.60°, intensity 33; 2θ = 51.00°, intensity 23

Atomic structure:
Lattice parameters (Å, degrees): 7.609 7.609 9.177 125.25 125.25 57.20
Fractional coordinates of all 10 atoms:
Nb1 0.216 0.784 0.000
Nb2 0.784 0.216 0.000
Br1 0.204 0.204 0.171
Br2 0.214 0.733 0.705
Br3 0.267 0.786 0.295
Br4 0.325 0.325 0.853
Br5 0.675 0.675 0.147
Br6 0.733 0.214 0.705
Br7 0.786 0.267 0.295
Br8 0.796 0.796 0.829

=====

[6]
K2Re3S4O7: simulated powder X-ray diffraction pattern (Cu Kα (weighted mean of Kα1 and Kα2)), based on a PBE-relaxed structure.
Intensities are scaled so that the largest is 100.

Most intense lines, 2θ from 10° to 80°, in order of rising 2θ:
2θ = 10.27°, intensity 100; 2θ = 12.02°, intensity 86; 2θ = 12.97°, intensity 46; 2θ = 13.40°, intensity 81; 2θ = 13.86°, intensity 38; 2θ = 14.23°, intensity 19; 2θ = 31.16°, intensity 31; 2θ = 44.28°, intensity 17

Atomic structure:
Lattice parameters (Å, degrees): 8.082 9.231 9.966 81.48 75.02 69.17
Fractional coordinates of all 32 atoms:
K1 0.194 0.346 0.091
K2 0.215 0.047 0.803
K3 0.785 0.953 0.197
K4 0.806 0.654 0.909
Re1 0.231 0.666 0.538
Re2 0.462 0.333 0.401
Re3 0.467 0.346 0.670
Re4 0.533 0.654 0.330
Re5 0.538 0.667 0.599
Re6 0.769 0.334 0.462
S1 0.200 0.401 0.586
S2 0.281 0.593 0.309
S3 0.298 0.602 0.764
S4 0.354 0.882 0.468
S5 0.646 0.118 0.532
S6 0.702 0.398 0.236
S7 0.719 0.407 0.691
S8 0.800 0.599 0.414
O1 0.010 0.329 0.903
O2 0.013 0.804 0.581
O3 0.164 0.991 0.122
O4 0.211 0.863 0.068
O5 0.429 0.215 0.817
O6 0.450 0.193 0.302
O7 0.479 0.568 0.969
O8 0.521 0.432 0.031
O9 0.550 0.807 0.698
O10 0.571 0.785 0.183
O11 0.789 0.137 0.932
O12 0.836 0.009 0.878
O13 0.987 0.196 0.419
O14 0.990 0.671 0.097